Diffraction record for Tb7Y4Tl. The XRD peak list is calculated, not measured: it uses a cell relaxed with GGA-PBE and Cu Kα.

Cell and atoms:
```
data_Tb7Y4Tl
_cell_length_a 3.5730
_cell_length_b 3.5730
_cell_length_c 34.2989
_cell_angle_alpha 90.00
_cell_angle_beta 90.00
_cell_angle_gamma 120.00
_symmetry_space_group_name_H-M 'P -3 m 1'
_symmetry_Int_Tables_number 164
_symmetry_space_group_name_Hall '-P 3 2"'
loop_
_atom_site_label
_atom_site_type_symbol
_atom_site_fract_x
_atom_site_fract_y
_atom_site_fract_z
_atom_site_occupancy
Tb1 Tb 0.0000 0.0000 0.0000 1
Tb2 Tb 0.0000 0.0000 0.2537 1
Tb3 Tb 0.3333 0.6667 0.1693 1
Tb4 Tb 0.3333 0.6667 0.4227 1
Y1 Y 0.3333 0.6667 0.6616 1
Y2 Y 0.3333 0.6667 0.9153 1
Tl1 Tl 0.0000 0.0000 0.5000 1
```

Largest 10 diffraction maxima, most intense first, 2θ from 10° to 80°:
- 2θ 30.72, I = 100, (1 0 4)
- 2θ 35.79, I = 66, (0 1 8)
- 2θ 31.29, I = 29, (0 0 12)
- 2θ 61.18, I = 26, (1 1 12)
- 2θ 51.13, I = 24, (1 1 0)
- 2θ 51.89, I = 21, (1 0 16)
- 2θ 60.84, I = 14, (0 2 4)
- 2θ 63.98, I = 12, (2 0 8)
- 2θ 61.86, I = 12, (0 1 20)
- 2θ 75.83, I = 7, (0 2 16)